The following is a calculated PXRD pattern of K2LiPrBr6. It was derived from a PBE-relaxed structure, using Cu Kα.

Largest 10 diffraction maxima, low angle first, 10° ≤ 2θ ≤ 90°:
h k l  Position (°2θ)  I/Imax
1 1 1  13.65  247
2 0 0  15.77  557
3 1 1  26.30  262
2 2 2  27.49  699
4 0 0  31.85  1000
4 2 0  35.73  294
4 4 0  45.66  706
6 2 2  54.13  280
4 4 4  56.75  240
8 4 0  75.69  301

Structural model:
Unit cell a=11.239 b=11.239 c=11.239 alpha=90.00 beta=90.00 gamma=90.00
Space group Fm-3m (No. 225)
Inequivalent atoms, fractional coordinates:
1 K 0.250 0.250 0.250
2 Li 0.000 0.000 0.000
3 Pr 0.000 0.000 0.500
4 Br 0.000 0.000 0.243